(1)
# Sc10Pb4N3
Computed powder XRD pattern, Cu Kα (weighted mean of Kα1 and Kα2). Input: DFT lattice parameters and positions (GGA-PBE).
Kinematic intensities with the Lorentz-polarization factor, no thermal factor.

Main lines, low angle first (5 to 70 degrees two-theta):
20.03°, I = 45; 21.47°, I = 31; 27.45°, I = 75; 28.22°, I = 51; 32.64°, I = 26; 35.74°, I = 100; 38.07°, I = 21; 40.33°, I = 57; 49.48°, I = 31; 56.66°, I = 26

Structural model:
```
Sc10Pb4N3
1.0
-2.2364 2.2364 16.5457
2.2364 -2.2364 16.5457
2.2364 2.2364 -16.5457
Sc Pb N
10 4 3
Cartesian
2.2364 0.0000 0.0000
0.0000 0.0000 2.2466
2.2364 0.0000 4.5000
0.0000 0.0000 6.7529
2.2364 0.0000 12.0456
0.0000 2.2364 0.0000
0.0000 2.2364 4.5000
0.0000 0.0000 26.3384
0.0000 2.2364 12.0456
0.0000 0.0000 30.8447
0.0000 0.0000 9.8185
0.0000 0.0000 14.2928
0.0000 0.0000 18.7985
0.0000 0.0000 23.2728
0.0000 0.0000 0.0000
0.0000 0.0000 4.5185
0.0000 0.0000 28.5728
```

(2)
# La4TeO10
Computed powder XRD pattern, Cu Kα (weighted mean of Kα1 and Kα2). Input: DFT lattice parameters and positions (GGA-PBE).
Kinematic intensities with the Lorentz-polarization factor, no thermal factor.

Main lines, low angle first (5 to 70 degrees two-theta):
27.53°, I = 100; 31.48°, I = 10; 32.09°, I = 19; 45.57°, I = 36; 46.02°, I = 18; 53.67°, I = 15; 54.47°, I = 29; 56.83°, I = 9; 65.71°, I = 3; 67.13°, I = 5

Structural model:
```
La4TeO10
1.0
-4.4096 4.4096 2.8420
4.4096 -4.4096 2.8420
4.4096 4.4096 -2.8420
La Te O
4 1 10
Cartesian
6.1365 0.8661 0.0000
0.8661 2.6827 0.0000
3.5435 1.7269 2.8420
-1.7269 3.5435 2.8420
0.0000 0.0000 2.8420
5.2383 2.8723 -1.2360
2.8723 3.5809 -1.2360
4.4096 0.0000 1.4210
1.5373 0.8287 1.6060
-0.8287 1.5373 1.6060
5.2383 2.8723 1.2360
2.8723 3.5809 1.2360
0.0000 4.4096 1.4210
1.5373 0.8287 4.0780
-0.8287 1.5373 4.0780
```

> What is the formula in the first record?

Sc10Pb4N3